1.
LiVOF3: theoretical PXRD pattern (Cu Ka), based on a DFT-relaxed cell (GGA+U, the Materials Project).
Peak positions follow from Bragg's law for the DFT cell and can differ from measured ones.

Main lines, low angle first (10 to 80 degrees two-theta):
2θ/deg  I_rel  (hkl)
17.25  71  2 0 0
26.23  100  1 1 1
30.31  19  2 1 1
39.94  26  4 0 1
41.55  27  2 2 1
53.99  15  2 2 2

Structure:
Cell lengths 10.2838, 5.5717, 4.7145 Å; angles 90.00, 90.00, 90.00 degrees
Space group Pna2_1 (No. 33)
Inequivalent atoms, fractional coordinates:
Li  0.0030  0.2420  0.0000 [4 per cell]
V  0.2403  0.4173  0.4621 [4 per cell]
O  0.1868  0.2056  0.2362 [4 per cell]
F  0.0871  0.4634  0.6874 [4 per cell]
F  0.0889  0.9644  0.8025 [4 per cell]
F  0.1767  0.7053  0.2503 [4 per cell]

***

2.
Li4V8O13F3: theoretical PXRD pattern (Cu Ka), based on a DFT-relaxed cell (GGA+U, the Materials Project).
Peak positions follow from Bragg's law for the DFT cell and can differ from measured ones.

Main lines, low angle first (10 to 80 degrees two-theta):
2θ/deg  I_rel  (hkl)
17.77  100  1 0 0
17.84  46  0 1 -1
18.26  51  -1 1 1
41.77  42  0 2 2
42.19  40  2 0 -4
42.45  39  2 -2 2

Structure:
Cell lengths 6.0008, 6.0010, 10.5188 Å; angles 90.65, 106.11, 118.30 degrees
Space group P1 (No. 1)
Inequivalent atoms, fractional coordinates:
Li  0.0000  0.0000  0.0000 [1 per cell]
Li  0.0059  0.5072  0.4999 [1 per cell]
Li  0.2259  0.6713  0.8885 [1 per cell]
Li  0.2391  0.1668  0.3847 [1 per cell]
V  0.1136  0.0872  0.6921 [1 per cell]
V  0.1172  0.5903  0.1981 [1 per cell]
V  0.5978  0.0794  0.2037 [1 per cell]
V  0.6048  0.8460  0.4385 [1 per cell]
V  0.6144  0.0875  0.6920 [1 per cell]
V  0.6142  0.5880  0.6918 [1 per cell]
V  0.6151  0.5864  0.1930 [1 per cell]
V  0.6216  0.3329  0.9437 [1 per cell]
O  0.3655  0.9551  0.3088 [1 per cell]
O  0.3747  0.2278  0.5903 [1 per cell]
O  0.3774  0.0006  0.8131 [1 per cell]
O  0.3783  0.7255  0.0921 [1 per cell]
O  0.3858  0.5051  0.3143 [1 per cell]
O  0.4089  0.7291  0.5708 [1 per cell]
O  0.4159  0.2130  0.0774 [1 per cell]
O  0.8213  0.4476  0.8138 [1 per cell]
O  0.8234  0.9619  0.3052 [1 per cell]
O  0.8466  0.4442  0.2974 [1 per cell]
O  0.8474  0.6657  0.0722 [1 per cell]
O  0.8525  0.1762  0.5720 [1 per cell]
O  0.8542  0.9477  0.7956 [1 per cell]
F  0.3653  0.4579  0.8182 [1 per cell]
F  0.8644  0.7179  0.5682 [1 per cell]
F  0.8649  0.2108  0.0719 [1 per cell]

***

Repeat the second record exactly.
Li4V8O13F3: theoretical PXRD pattern (Cu Ka), based on a DFT-relaxed cell (GGA+U, the Materials Project).
Peak positions follow from Bragg's law for the DFT cell and can differ from measured ones.

Main lines, low angle first (10 to 80 degrees two-theta):
2θ/deg  I_rel  (hkl)
17.77  100  1 0 0
17.84  46  0 1 -1
18.26  51  -1 1 1
41.77  42  0 2 2
42.19  40  2 0 -4
42.45  39  2 -2 2

Structure:
Cell lengths 6.0008, 6.0010, 10.5188 Å; angles 90.65, 106.11, 118.30 degrees
Space group P1 (No. 1)
Inequivalent atoms, fractional coordinates:
Li  0.0000  0.0000  0.0000 [1 per cell]
Li  0.0059  0.5072  0.4999 [1 per cell]
Li  0.2259  0.6713  0.8885 [1 per cell]
Li  0.2391  0.1668  0.3847 [1 per cell]
V  0.1136  0.0872  0.6921 [1 per cell]
V  0.1172  0.5903  0.1981 [1 per cell]
V  0.5978  0.0794  0.2037 [1 per cell]
V  0.6048  0.8460  0.4385 [1 per cell]
V  0.6144  0.0875  0.6920 [1 per cell]
V  0.6142  0.5880  0.6918 [1 per cell]
V  0.6151  0.5864  0.1930 [1 per cell]
V  0.6216  0.3329  0.9437 [1 per cell]
O  0.3655  0.9551  0.3088 [1 per cell]
O  0.3747  0.2278  0.5903 [1 per cell]
O  0.3774  0.0006  0.8131 [1 per cell]
O  0.3783  0.7255  0.0921 [1 per cell]
O  0.3858  0.5051  0.3143 [1 per cell]
O  0.4089  0.7291  0.5708 [1 per cell]
O  0.4159  0.2130  0.0774 [1 per cell]
O  0.8213  0.4476  0.8138 [1 per cell]
O  0.8234  0.9619  0.3052 [1 per cell]
O  0.8466  0.4442  0.2974 [1 per cell]
O  0.8474  0.6657  0.0722 [1 per cell]
O  0.8525  0.1762  0.5720 [1 per cell]
O  0.8542  0.9477  0.7956 [1 per cell]
F  0.3653  0.4579  0.8182 [1 per cell]
F  0.8644  0.7179  0.5682 [1 per cell]
F  0.8649  0.2108  0.0719 [1 per cell]